For La2CuSbF, a DFT-relaxed cell (PBE, Alexandria) gives the theoretical X-ray diffraction stick pattern in this record (Cu Kα (weighted mean of Kα1 and Kα2)).
Kinematic intensities with the Lorentz-polarization factor, no thermal factor.

Principal peaks in the range 10 to 90 degrees two-theta, in order of rising 2θ:
- 2θ = 20.89°, I = 22.6, hkl 0 0 1
- 2θ = 26.37°, I = 36.8, hkl 1 0 1
- 2θ = 30.96°, I = 100.0, hkl 1 1 1
- 2θ = 32.16°, I = 89.1, hkl 2 0 0
- 2θ = 42.06°, I = 21.2, hkl 2 1 1
- 2θ = 42.51°, I = 20.4, hkl 0 0 2
- 2θ = 46.12°, I = 32.1, hkl 2 2 0
- 2θ = 54.29°, I = 39.1, hkl 2 0 2
- 2θ = 56.59°, I = 35.6, hkl 3 1 1
- 2θ = 64.52°, I = 22.8, hkl 2 2 2

Crystal structure
```
data_La2CuSbF
_space_group_name_H-M_alt 'P 4/m m m'
_space_group_IT_number 123
_space_group_name_Hall '-P 4 2'
_cell_length_a 5.5663
_cell_length_b 5.5663
_cell_length_c 4.2530
_cell_angle_alpha 90.00
_cell_angle_beta 90.00
_cell_angle_gamma 90.00
loop_
_atom_site_label
_atom_site_fract_x
_atom_site_fract_y
_atom_site_fract_z
_atom_site_occupancy
La1 0.0000 0.5000 0.0000 1
Cu1 0.0000 0.0000 0.0000 1
Sb1 0.5000 0.5000 0.5000 1
F1 0.0000 0.0000 0.5000 1
```